Entry 1:
The following is a computed X-ray diffraction stick pattern of Sm4CO3. It was derived from a cell relaxed with GGA-PBE, using Cu Kα (λ = 1.5418 Å).
Kinematic intensities with the Lorentz-polarization factor, no thermal factor.

Most intense lines, 15° ≤ 2θ ≤ 90°, by angle:
d (Å)	Position (°2θ)	I/Imax	hkl
2.918	30.6	981	0 0 2
2.908	30.7	325	2 0 0
2.525	35.6	1000	2 0 -2
1.791	51.0	115	0 4 0
1.784	51.2	460	3 2 -1
1.782	51.3	115	2 0 2
1.525	60.7	196	2 4 0
1.521	60.9	342	3 2 -3
1.460	63.7	116	2 4 -2
1.128	86.2	151	5 2 -3

Cell and atoms:
```
data_Sm4CO3
_cell_length_a 6.169
_cell_length_b 7.164
_cell_length_c 6.179
_cell_angle_alpha 90.00
_cell_angle_beta 109.48
_cell_angle_gamma 90.00
_symmetry_space_group_name_H-M 'P 1 2/c 1'
_symmetry_Int_Tables_number 13
_symmetry_space_group_name_Hall '-P 2yc'
loop_
_atom_site_label
_atom_site_type_symbol
_atom_site_fract_x
_atom_site_fract_y
_atom_site_fract_z
_atom_site_occupancy
Sm1 Sm 0.246 0.121 0.000 1
Sm2 Sm 0.248 0.370 0.495 1
C1 C 0.000 0.131 0.250 1
O1 O 0.000 0.380 0.750 1
O2 O 0.500 0.132 0.750 1
O3 O 0.500 0.379 0.250 1
```

***

Entry 2:
The following is a computed X-ray diffraction stick pattern of BaTa4Te8. It was derived from a cell relaxed with GGA-PBE, using Cu Kα (λ = 1.5418 Å).
Kinematic intensities with the Lorentz-polarization factor, no thermal factor.

Most intense lines, 15° ≤ 2θ ≤ 90°, by angle:
d (Å)	Position (°2θ)	I/Imax	hkl
3.175	28.1	422	3 1 -2
3.078	29.0	528	2 0 -4
2.958	30.2	932	3 1 0
2.869	31.2	713	3 1 -3
2.568	34.9	650	3 1 1
2.520	35.6	403	5 1 -1
2.429	37.0	1000	5 1 -4
2.375	37.9	638	6 0 0
1.923	47.3	745	1 1 4
1.892	48.1	493	0 2 0

Cell and atoms:
```
data_BaTa4Te8
_cell_length_a 18.787
_cell_length_b 3.783
_cell_length_c 13.240
_cell_angle_alpha 90.00
_cell_angle_beta 130.73
_cell_angle_gamma 90.00
_symmetry_space_group_name_H-M 'C 1 2/m 1'
_symmetry_Int_Tables_number 12
_symmetry_space_group_name_Hall '-C 2y'
loop_
_atom_site_label
_atom_site_type_symbol
_atom_site_fract_x
_atom_site_fract_y
_atom_site_fract_z
_atom_site_occupancy
Ba1 Ba 0.000 0.000 0.000 1
Ta1 Ta 0.161 0.000 0.475 1
Ta2 Ta 0.185 0.500 0.870 1
Te1 Te 0.038 0.000 0.751 1
Te2 Te 0.124 0.500 0.595 1
Te3 Te 0.150 0.500 0.307 1
Te4 Te 0.187 0.500 0.080 1
```

***

Entry 3:
The following is a computed X-ray diffraction stick pattern of RbTl2SbPb. It was derived from a cell relaxed with GGA-PBE, using Cu Kα (λ = 1.5418 Å).
Kinematic intensities with the Lorentz-polarization factor, no thermal factor.

Most intense lines, 15° ≤ 2θ ≤ 90°, by angle:
d (Å)	Position (°2θ)	I/Imax	hkl
3.312	26.9	290	1 0 3
3.180	28.1	1000	1 1 2
2.830	31.6	422	0 2 0
2.596	34.5	337	0 1 5
2.539	35.4	654	1 1 4
2.260	39.9	226	2 0 0
2.152	42.0	177	1 2 3
1.766	51.8	214	2 2 0
1.704	53.8	192	2 1 5
1.694	54.1	165	1 3 2

Cell and atoms:
```
data_RbTl2SbPb
_cell_length_a 4.519
_cell_length_b 5.661
_cell_length_c 14.609
_cell_angle_alpha 90.00
_cell_angle_beta 90.00
_cell_angle_gamma 90.00
_symmetry_space_group_name_H-M 'I m m 2'
_symmetry_Int_Tables_number 44
_symmetry_space_group_name_Hall 'I 2 -2'
loop_
_atom_site_label
_atom_site_type_symbol
_atom_site_fract_x
_atom_site_fract_y
_atom_site_fract_z
_atom_site_occupancy
Rb1 Rb 0.000 0.000 0.000 1
Tl1 Tl 0.000 0.000 0.619 1
Tl2 Tl 0.000 0.500 0.282 1
Sb1 Sb 0.000 0.000 0.392 1
Pb1 Pb 0.000 0.500 0.748 1
```

***

Entry 4:
The following is a computed X-ray diffraction stick pattern of Sm4TmSc7. It was derived from a cell relaxed with GGA-PBE, using Cu Kα (λ = 1.5418 Å).
Kinematic intensities with the Lorentz-polarization factor, no thermal factor.

Most intense lines, 15° ≤ 2θ ≤ 90°, by angle:
d (Å)	Position (°2θ)	I/Imax	hkl
4.178	21.3	975	1 1 1
4.072	21.8	305	2 0 1
2.985	29.9	479	2 0 -4
2.825	31.7	1000	3 1 -3
2.797	32.0	413	4 0 -1
2.781	32.2	998	0 2 0
2.685	33.4	783	1 1 3
2.615	34.3	680	3 1 1
2.036	44.5	492	4 0 2
1.972	46.0	292	4 2 -1

Cell and atoms:
```
data_Sm4TmSc7
_cell_length_a 11.402
_cell_length_b 5.561
_cell_length_c 12.029
_cell_angle_alpha 90.00
_cell_angle_beta 114.54
_cell_angle_gamma 90.00
_symmetry_space_group_name_H-M 'C 1 2/m 1'
_symmetry_Int_Tables_number 12
_symmetry_space_group_name_Hall '-C 2y'
loop_
_atom_site_label
_atom_site_type_symbol
_atom_site_fract_x
_atom_site_fract_y
_atom_site_fract_z
_atom_site_occupancy
Sm1 Sm 0.097 0.000 0.293 1
Sm2 Sm 0.128 0.500 0.775 1
Tm1 Tm 0.000 0.500 0.000 1
Sc1 Sc 0.000 0.000 0.000 1
Sc2 Sc 0.132 0.500 0.486 1
Sc3 Sc 0.151 0.000 0.619 1
Sc4 Sc 0.208 0.000 0.915 1
```

***

What is the formula in the fourth record?
Sm4TmSc7